# 1
For HfGeRh, a cell relaxed with GGA-PBE gives the theoretical powder diffractogram in this record (Cu Kα).
Intensities are scaled so that the largest is 100.

The 12 most intense peaks (2θ from 10° to 80°), by angle:
- 2θ 25.12, I 13.4, hkl 0 1 1
- 2θ 35.34, I 96.4, hkl 1 1 2
- 2θ 36.22, I 24.7, hkl 2 0 2
- 2θ 37.37, I 100.0, hkl 2 1 1
- 2θ 38.13, I 31.2, hkl 1 0 3
- 2θ 42.24, I 36.3, hkl 0 1 3
- 2θ 43.10, I 21.0, hkl 3 0 1
- 2θ 44.55, I 12.3, hkl 1 1 3
- 2θ 45.23, I 44.2, hkl 0 2 0
- 2θ 60.60, I 16.8, hkl 1 2 3
- 2θ 64.24, I 12.7, hkl 3 2 1
- 2θ 69.71, I 24.3, hkl 3 1 4

Structure:
```
HfGeRh
1.0
6.552 0.000 0.000
0.000 4.010 0.000
0.000 0.000 7.589
Hf Ge Rh
4 4 4
direct
0.022 0.250 0.187 Hf
0.478 0.750 0.687 Hf
0.522 0.250 0.313 Hf
0.978 0.750 0.813 Hf
0.232 0.750 0.381 Ge
0.268 0.250 0.881 Ge
0.732 0.750 0.119 Ge
0.768 0.250 0.619 Ge
0.152 0.250 0.564 Rh
0.348 0.750 0.064 Rh
0.652 0.250 0.936 Rh
0.848 0.750 0.436 Rh
```

***

# 2
For CsPbF3, a cell relaxed with GGA-PBE gives the theoretical powder diffractogram in this record (Cu Kα).
Intensities are scaled so that the largest is 100.

The 12 most intense peaks (2θ from 10° to 80°), by angle:
- 2θ 18.09, I 9.9, hkl 1 0 0
- 2θ 25.70, I 100.0, hkl 1 1 0
- 2θ 36.66, I 31.4, hkl 2 0 0
- 2θ 41.17, I 5.5, hkl 2 1 0
- 2θ 45.31, I 44.8, hkl 2 1 1
- 2θ 52.82, I 21.4, hkl 2 2 0
- 2θ 56.30, I 2.8, hkl 3 0 0
- 2θ 59.64, I 20.3, hkl 3 1 0
- 2θ 66.01, I 7.2, hkl 2 2 2
- 2θ 69.08, I 1.2, hkl 3 2 0
- 2θ 72.08, I 23.8, hkl 3 2 1
- 2θ 77.95, I 3.4, hkl 4 0 0

Structure:
```
CsPbF3
1.0
4.902 0.000 0.000
0.000 4.902 0.000
0.000 0.000 4.902
Cs Pb F
1 1 3
direct
0.000 0.000 0.000 Cs
0.500 0.500 0.500 Pb
0.000 0.500 0.500 F
0.500 0.000 0.500 F
0.500 0.500 0.000 F
```

***

# 3
For SrCu2O3, a cell relaxed with GGA-PBE gives the theoretical powder diffractogram in this record (Cu Kα).
Intensities are scaled so that the largest is 100.

The 12 most intense peaks (2θ from 10° to 80°), by angle:
- 2θ 24.99, I 25.4, hkl 0 0 1
- 2θ 29.44, I 75.2, hkl 0 2 1
- 2θ 32.34, I 74.6, hkl 1 3 0
- 2θ 34.69, I 100.0, hkl 1 1 1
- 2θ 40.15, I 33.5, hkl 0 4 1
- 2θ 45.65, I 33.5, hkl 2 0 0
- 2θ 47.12, I 30.1, hkl 0 6 0
- 2θ 51.28, I 22.2, hkl 0 0 2
- 2θ 52.46, I 25.6, hkl 1 5 1
- 2θ 55.25, I 24.3, hkl 2 2 1
- 2θ 61.94, I 23.4, hkl 1 3 2
- 2θ 67.69, I 18.3, hkl 2 6 0

Structure:
```
SrCu2O3
1.0
3.975 0.000 0.000
0.000 11.572 0.000
0.000 0.000 3.563
Sr Cu O
2 4 6
direct
0.250 0.250 0.017 Sr
0.750 0.750 0.983 Sr
0.250 0.585 0.488 Cu
0.250 0.915 0.488 Cu
0.750 0.085 0.512 Cu
0.750 0.415 0.512 Cu
0.250 0.080 0.509 O
0.250 0.420 0.509 O
0.250 0.750 0.468 O
0.750 0.250 0.532 O
0.750 0.580 0.491 O
0.750 0.920 0.491 O
```

***

# 4
For LiCu3, a cell relaxed with GGA-PBE gives the theoretical powder diffractogram in this record (Cu Kα).
Intensities are scaled so that the largest is 100.

The 12 most intense peaks (2θ from 10° to 80°), by angle:
- 2θ 24.01, I 11.2, hkl 0 0 2
- 2θ 27.71, I 31.3, hkl 1 0 1
- 2θ 35.52, I 8.1, hkl 1 1 0
- 2θ 43.33, I 100.0, hkl 1 1 2
- 2θ 44.58, I 8.3, hkl 1 0 3
- 2θ 49.17, I 16.9, hkl 0 0 4
- 2θ 51.11, I 29.9, hkl 2 0 0
- 2θ 57.23, I 3.7, hkl 2 0 2
- 2θ 59.12, I 6.7, hkl 2 1 1
- 2θ 70.12, I 3.8, hkl 2 1 3
- 2θ 73.64, I 18.2, hkl 2 0 4
- 2θ 75.18, I 8.6, hkl 2 2 0

Structure:
```
LiCu3
1.0
3.575 0.000 0.000
0.000 3.575 0.000
0.000 0.000 7.411
Li Cu
2 6
direct
0.000 0.000 0.000 Li
0.500 0.500 0.500 Li
0.000 0.000 0.500 Cu
0.000 0.500 0.250 Cu
0.000 0.500 0.750 Cu
0.500 0.000 0.250 Cu
0.500 0.000 0.750 Cu
0.500 0.500 0.000 Cu
```

***

Question: Number 4 is which compound?
Answer: LiCu3

***

Question: Which formula does entry 4 have?
Answer: LiCu3